Starting from the GGA-PBE geometry in Alexandria, the X-ray powder pattern of Cs2BeCl4 was computed for λ = 1.5418 Å (Cu Kα).
No peak broadening, texture or thermal motion is included.

Peak list (12 most intense, 2θ from 10° to 90°, sorted by position)
(hkl)	2θ (°)	I_rel
1 1 2	20.57	89
2 1 1	22.82	67
0 1 3	24.24	37
0 2 0	24.39	57
0 0 4	28.00	100
1 2 2	29.62	48
2 2 1	31.28	49
1 2 3	33.62	43
3 0 3	34.47	32
2 2 3	37.23	28
3 2 1	37.47	35
3 1 4	41.34	24

Structure:
Cell: 9.8715 7.3001 12.7479 Å, 90.00 90.00 90.00°
Sites, in units of the cell vectors:
Cs (0.0227, 0.2500, 0.1749)
Cs (0.1476, 0.7500, 0.3982)
Cs (0.3524, 0.2500, 0.8982)
Cs (0.4773, 0.7500, 0.6749)
Cs (0.5227, 0.2500, 0.3251)
Cs (0.6476, 0.7500, 0.1018)
Cs (0.8524, 0.2500, 0.6018)
Cs (0.9773, 0.7500, 0.8251)
Be (0.2441, 0.7500, 0.0810)
Be (0.2559, 0.2500, 0.5810)
Be (0.7441, 0.7500, 0.4190)
Be (0.7559, 0.2500, 0.9190)
Cl (0.0387, 0.7500, 0.0982)
Cl (0.1782, 0.0211, 0.6506)
Cl (0.1782, 0.4789, 0.6506)
Cl (0.1967, 0.2500, 0.4270)
Cl (0.3033, 0.7500, 0.9270)
Cl (0.3218, 0.5211, 0.1506)
Cl (0.3218, 0.9789, 0.1506)
Cl (0.4613, 0.2500, 0.5982)
Cl (0.5387, 0.7500, 0.4018)
Cl (0.6782, 0.0211, 0.8494)
Cl (0.6782, 0.4789, 0.8494)
Cl (0.6967, 0.2500, 0.0730)
Cl (0.8033, 0.7500, 0.5730)
Cl (0.8218, 0.5211, 0.3494)
Cl (0.8218, 0.9789, 0.3494)
Cl (0.9613, 0.2500, 0.9018)